(1)
Theoretical XRD peak list
Compound: InW4Se7
Radiation: Cu Kα, 1.54184 Å
Structure: a cell relaxed with PBE

Largest 10 diffraction maxima, by angle, 10° ≤ 2θ ≤ 90°:
hkl 0 1 1, 13.58°, rel. 44
hkl 0 2 1, 16.37°, rel. 62
hkl 1 1 0, 18.80°, rel. 48
hkl 1 2 1, 24.45°, rel. 100
hkl 0 4 1, 24.62°, rel. 75
hkl 0 0 2, 25.17°, rel. 42
hkl 2 0 0, 36.55°, rel. 94
hkl 1 6 2, 45.19°, rel. 62
hkl 1 8 1, 48.81°, rel. 34
hkl 2 2 3, 55.01°, rel. 42

Structure:
a = 4.917 Å, b = 16.831 Å, c = 7.075 Å
α = 90.00°, β = 90.00°, γ = 90.00°
Space group Pmmn (No. 59, origin choice 2)
Inequivalent atoms, fractional coordinates:
In (0.250, 0.250, 0.207) [2 per cell]
W (0.250, 0.502, 0.860) [4 per cell]
W (0.250, 0.679, 0.352) [4 per cell]
Se (0.250, 0.136, 0.709) [4 per cell]
Se (0.250, 0.525, 0.207) [4 per cell]
Se (0.250, 0.621, 0.679) [4 per cell]
Se (0.250, 0.750, 0.038) [2 per cell]


(2)
Theoretical XRD peak list
Compound: Sm2HfNpAs4
Radiation: Cu Kα, 1.54184 Å
Structure: a cell relaxed with PBE

Largest 10 diffraction maxima, by angle, 10° ≤ 2θ ≤ 90°:
hkl 2 0 0, 26.80°, rel. 33
hkl 1 1 1, 30.96°, rel. 100
hkl 2 0 -2, 31.06°, rel. 50
hkl 2 0 2, 44.20°, rel. 18
hkl 1 1 -3, 44.32°, rel. 37
hkl 0 2 0, 44.51°, rel. 56
hkl 2 2 -2, 55.22°, rel. 29
hkl 2 2 2, 64.52°, rel. 12
hkl 1 3 1, 73.48°, rel. 17
hkl 3 3 -1, 81.97°, rel. 16

Structure:
a = 7.049 Å, b = 4.072 Å, c = 7.089 Å
α = 90.00°, β = 109.13°, γ = 90.00°
Space group P2/m (No. 10)
Inequivalent atoms, fractional coordinates:
Sm (0.000, 0.000, 0.000) [1 per cell]
Sm (0.500, 0.500, 0.000) [1 per cell]
Hf (0.000, 0.500, 0.500) [1 per cell]
Np (0.500, 0.000, 0.500) [1 per cell]
As (0.236, 0.000, 0.730) [2 per cell]
As (0.246, 0.500, 0.265) [2 per cell]


Please write out number 1 again, unchanged.
Theoretical XRD peak list
Compound: InW4Se7
Radiation: Cu Kα, 1.54184 Å
Structure: a cell relaxed with PBE

Largest 10 diffraction maxima, by angle, 10° ≤ 2θ ≤ 90°:
hkl 0 1 1, 13.58°, rel. 44
hkl 0 2 1, 16.37°, rel. 62
hkl 1 1 0, 18.80°, rel. 48
hkl 1 2 1, 24.45°, rel. 100
hkl 0 4 1, 24.62°, rel. 75
hkl 0 0 2, 25.17°, rel. 42
hkl 2 0 0, 36.55°, rel. 94
hkl 1 6 2, 45.19°, rel. 62
hkl 1 8 1, 48.81°, rel. 34
hkl 2 2 3, 55.01°, rel. 42

Structure:
a = 4.917 Å, b = 16.831 Å, c = 7.075 Å
α = 90.00°, β = 90.00°, γ = 90.00°
Space group Pmmn (No. 59, origin choice 2)
Inequivalent atoms, fractional coordinates:
In (0.250, 0.250, 0.207) [2 per cell]
W (0.250, 0.502, 0.860) [4 per cell]
W (0.250, 0.679, 0.352) [4 per cell]
Se (0.250, 0.136, 0.709) [4 per cell]
Se (0.250, 0.525, 0.207) [4 per cell]
Se (0.250, 0.621, 0.679) [4 per cell]
Se (0.250, 0.750, 0.038) [2 per cell]